(1)
This entry pairs a crystal structure of Ho4Zn5Ge6 with its computed powder diffraction line list. Radiation: Cu Ka. Structure: the GGA-PBE geometry in the Materials Project.
No peak broadening, texture or thermal motion is included.

Crystal structure
```
30
Lattice="2.112 -9.334 0.000 2.112 9.334 0.000 0.000 0.000 15.259" Properties=species:S:1:pos:R:3 pbc="T T T"
Ho 2.112 8.990 7.630
Ho 2.112 8.715 3.602
Ho 2.112 6.210 10.630
Ho 2.112 6.071 0.836
Ho 2.112 -6.071 8.466
Ho 2.112 -6.210 3.000
Ho 2.112 -8.715 11.232
Ho 2.112 -8.990 0.000
Zn 2.112 6.502 5.689
Zn 2.112 3.716 5.729
Zn 2.112 2.898 11.083
Zn 2.112 2.801 0.287
Zn 2.112 1.219 4.806
Zn 2.112 -1.219 12.436
Zn 2.112 -2.801 7.917
Zn 2.112 -2.898 3.453
Zn 2.112 -3.716 13.359
Zn 2.112 -6.502 13.319
Ge 2.112 7.224 13.469
Ge 2.112 5.167 7.848
Ge 2.112 5.070 3.577
Ge 2.112 1.296 9.045
Ge 2.112 1.258 13.280
Ge 2.112 1.121 2.218
Ge 2.112 -1.121 9.848
Ge 2.112 -1.258 5.650
Ge 2.112 -1.296 1.415
Ge 2.112 -5.070 11.207
Ge 2.112 -5.167 0.218
Ge 2.112 -7.224 5.839
```

Peak list (12 most intense, 10 to 80 degrees two-theta, in order of rising 2θ)
27.87 deg, rel. 17; 30.26 deg, rel. 15; 30.82 deg, rel. 13; 31.98 deg, rel. 61; 32.54 deg, rel. 31; 34.14 deg, rel. 15; 34.82 deg, rel. 24; 35.29 deg, rel. 20; 36.66 deg, rel. 100; 39.97 deg, rel. 25; 42.82 deg, rel. 47; 52.20 deg, rel. 15

---

(2)
This entry pairs a crystal structure of HoZnGe with its computed powder diffraction line list. Radiation: Cu Ka. Structure: the GGA-PBE geometry in the Materials Project.
No peak broadening, texture or thermal motion is included.

Crystal structure
```
12
Lattice="4.231 0.000 0.000 -2.116 3.664 0.000 0.000 0.000 15.464" Properties=species:S:1:pos:R:3 pbc="T T T"
Ho 0.000 0.000 0.000
Ho 0.000 0.000 3.866
Ho 0.000 0.000 7.732
Ho 0.000 0.000 11.598
Zn 0.000 2.443 2.260
Zn 0.000 2.443 5.472
Zn 2.116 1.221 9.992
Zn 2.116 1.221 13.203
Ge 0.000 2.443 9.451
Ge 0.000 2.443 13.744
Ge 2.116 1.221 1.719
Ge 2.116 1.221 6.013
```

Peak list (12 most intense, 10 to 80 degrees two-theta, in order of rising 2θ)
24.29 deg, rel. 17; 33.70 deg, rel. 100; 42.74 deg, rel. 47; 47.01 deg, rel. 8; 48.09 deg, rel. 4; 53.61 deg, rel. 7; 55.50 deg, rel. 24; 65.40 deg, rel. 18; 70.87 deg, rel. 3; 72.49 deg, rel. 21; 78.27 deg, rel. 8; 78.72 deg, rel. 5

---

(3)
This entry pairs a crystal structure of K2GeI6O18 with its computed powder diffraction line list. Radiation: Cu Ka. Structure: the GGA-PBE geometry in the Materials Project.
No peak broadening, texture or thermal motion is included.

Crystal structure
```
27
Lattice="5.701 3.291 3.873 -5.701 3.291 3.873 0.000 -6.583 3.873" Properties=species:S:1:pos:R:3 pbc="T T T"
K 0.000 0.000 2.073
K 0.000 0.000 9.547
Ge 0.000 0.000 5.810
I -3.210 0.596 4.566
I -2.121 -2.482 7.054
I 1.089 -3.078 4.566
I -1.089 3.078 7.054
I 2.121 2.482 4.566
I 3.210 -0.596 7.054
O -3.047 -2.315 5.489
O -0.001 -3.897 3.352
O -3.375 1.949 3.352
O -3.529 1.482 6.132
O -3.375 -1.948 8.269
O -0.030 -1.520 4.628
O -1.302 0.786 4.628
O 0.481 -3.797 6.132
O -1.332 -0.734 6.992
O 1.332 0.734 4.628
O -0.481 3.797 5.489
O 1.302 -0.786 6.992
O 0.030 1.520 6.992
O 3.375 1.948 3.352
O 3.529 -1.482 5.489
O 3.375 -1.949 8.269
O 0.001 3.897 8.269
O 3.047 2.315 6.132
```

Peak list (12 most intense, 10 to 80 degrees two-theta, in order of rising 2θ)
15.54 deg, rel. 20; 17.71 deg, rel. 23; 23.65 deg, rel. 43; 25.06 deg, rel. 74; 27.09 deg, rel. 33; 27.85 deg, rel. 100; 28.42 deg, rel. 17; 33.62 deg, rel. 67; 39.25 deg, rel. 16; 42.85 deg, rel. 16; 48.70 deg, rel. 20; 49.72 deg, rel. 20

---

(4)
This entry pairs a crystal structure of La2GeI2 with its computed powder diffraction line list. Radiation: Cu Ka. Structure: the GGA-PBE geometry in the Materials Project.
No peak broadening, texture or thermal motion is included.

Crystal structure
```
5
Lattice="4.499 0.000 0.000 -2.249 3.896 0.000 0.000 0.000 11.038" Properties=species:S:1:pos:R:3 pbc="T T T"
La 0.000 2.597 3.830
La 2.249 1.299 7.208
Ge 0.000 0.000 5.519
I 0.000 2.597 9.264
I 2.249 1.299 1.773
```

Peak list (12 most intense, 10 to 80 degrees two-theta, in order of rising 2θ)
16.06 deg, rel. 5; 22.82 deg, rel. 14; 28.03 deg, rel. 100; 32.45 deg, rel. 5; 40.06 deg, rel. 65; 49.61 deg, rel. 26; 52.48 deg, rel. 7; 55.22 deg, rel. 4; 57.95 deg, rel. 11; 65.59 deg, rel. 31; 72.76 deg, rel. 17; 72.83 deg, rel. 6

---

Number 3 is which compound?
K2GeI6O18